1.
This entry pairs a crystal structure of Gd2Si4AgPt with its computed powder X-ray diffraction pattern. Radiation: Cu Ka. Structure: a cell relaxed with GGA-PBE.

```
Gd2Si4AgPt
1.0
4.139 0.000 0.000
0.000 2.067 8.787
0.000 -2.067 8.787
Gd Si Ag Pt
2 4 1 1
direct
0.000 0.000 0.000
0.500 0.195 0.195
0.000 0.342 0.342
0.000 0.634 0.634
0.500 0.567 0.567
0.500 0.843 0.843
0.500 0.429 0.429
0.000 0.770 0.770
```

Principal peaks in the range 10 to 90 degrees two-theta, by angle:
20.21°, 4.393 Å, I = 33; 29.65°, 3.012 Å, I = 66; 30.99°, 2.885 Å, I = 100; 33.46°, 2.678 Å, I = 70; 34.27°, 2.617 Å, I = 67; 43.77°, 2.068 Å, I = 64; 46.82°, 1.940 Å, I = 35; 51.78°, 1.765 Å, I = 26; 53.78°, 1.705 Å, I = 25; 56.17°, 1.637 Å, I = 32



2.
This entry pairs a crystal structure of Gd2Ag2SeS3 with its computed powder X-ray diffraction pattern. Radiation: Cu Ka. Structure: a cell relaxed with GGA-PBE.

```
Gd2Ag2SeS3
1.0
4.761 -4.634 0.000
4.761 4.634 0.000
-0.082 0.000 4.207
Gd Ag Se S
2 2 1 3
direct
0.000 0.000 0.000
0.515 0.515 0.445
0.006 0.505 0.245
0.505 0.006 0.245
0.304 0.304 0.939
0.207 0.807 0.491
0.708 0.708 0.965
0.807 0.207 0.491
```

Principal peaks in the range 10 to 90 degrees two-theta, by angle:
24.90°, 3.576 Å, I = 46; 25.21°, 3.532 Å, I = 57; 26.85°, 3.321 Å, I = 100; 28.64°, 3.117 Å, I = 62; 34.17°, 2.624 Å, I = 46; 36.44°, 2.466 Å, I = 41; 37.11°, 2.423 Å, I = 39; 37.80°, 2.380 Å, I = 55; 38.87°, 2.317 Å, I = 56; 47.47°, 1.915 Å, I = 45



3.
This entry pairs a crystal structure of GdAgSnTe2S with its computed powder X-ray diffraction pattern. Radiation: Cu Ka. Structure: a cell relaxed with GGA-PBE.

```
GdAgSnTe2S
1.0
2.173 -7.241 0.000
2.173 7.241 0.000
0.000 0.000 10.387
Gd Ag Sn Te S
2 2 2 4 2
direct
0.000 0.000 0.000
0.000 0.000 0.500
0.484 0.516 0.750
0.516 0.484 0.250
0.274 0.726 0.250
0.726 0.274 0.750
0.349 0.651 0.557
0.349 0.651 0.943
0.651 0.349 0.057
0.651 0.349 0.443
0.082 0.918 0.750
0.918 0.082 0.250
```

Principal peaks in the range 10 to 90 degrees two-theta, by angle:
27.46°, 3.248 Å, I = 23; 27.62°, 3.230 Å, I = 59; 28.58°, 3.124 Å, I = 30; 28.95°, 3.084 Å, I = 38; 32.65°, 2.743 Å, I = 100; 33.67°, 2.662 Å, I = 45; 34.54°, 2.597 Å, I = 30; 41.28°, 2.187 Å, I = 64; 41.57°, 2.173 Å, I = 39; 64.28°, 1.449 Å, I = 20



4.
This entry pairs a crystal structure of GdTlAg2S3 with its computed powder X-ray diffraction pattern. Radiation: Cu Ka. Structure: a cell relaxed with GGA-PBE.

```
GdTlAg2S3
1.0
14.007 0.000 0.000
0.000 4.118 0.000
0.000 0.000 11.366
Gd Tl Ag S
4 4 8 12
direct
0.019 0.250 0.163
0.481 0.750 0.663
0.519 0.250 0.337
0.981 0.750 0.837
0.232 0.250 0.457
0.268 0.750 0.957
0.732 0.250 0.043
0.768 0.750 0.543
0.039 0.750 0.412
0.179 0.250 0.731
0.321 0.750 0.231
0.461 0.250 0.912
0.539 0.750 0.088
0.679 0.250 0.769
0.821 0.750 0.269
0.961 0.250 0.588
0.089 0.750 0.632
0.094 0.250 0.933
0.141 0.750 0.228
0.359 0.250 0.728
0.406 0.750 0.433
0.411 0.250 0.132
0.589 0.750 0.868
0.594 0.250 0.567
0.641 0.750 0.272
0.859 0.250 0.772
0.906 0.750 0.067
0.911 0.250 0.368
```

Principal peaks in the range 10 to 90 degrees two-theta, by angle:
23.85°, 3.732 Å, I = 30; 25.44°, 3.502 Å, I = 25; 27.50°, 3.244 Å, I = 33; 29.98°, 2.980 Å, I = 100; 32.13°, 2.786 Å, I = 40; 33.00°, 2.714 Å, I = 37; 34.05°, 2.633 Å, I = 32; 34.60°, 2.592 Å, I = 72; 43.98°, 2.059 Å, I = 34; 47.49°, 1.915 Å, I = 26



5.
This entry pairs a crystal structure of GdScAg2Sn2 with its computed powder X-ray diffraction pattern. Radiation: Cu Ka. Structure: a cell relaxed with GGA-PBE.

```
GdScAg2Sn2
1.0
4.688 0.000 0.000
-2.344 4.060 0.000
0.000 0.000 7.204
Gd Sc Ag Sn
1 1 2 2
direct
0.000 0.000 0.000
0.000 0.000 0.502
0.333 0.667 0.683
0.667 0.333 0.198
0.333 0.667 0.288
0.667 0.333 0.771
```

Principal peaks in the range 10 to 90 degrees two-theta, by angle:
25.18°, 3.537 Å, I = 35; 33.25°, 2.694 Å, I = 100; 38.41°, 2.344 Å, I = 96; 43.80°, 2.067 Å, I = 29; 51.69°, 1.768 Å, I = 28; 65.34°, 1.428 Å, I = 14; 66.20°, 1.412 Å, I = 27; 69.19°, 1.358 Å, I = 13; 69.46°, 1.353 Å, I = 16; 73.20°, 1.293 Å, I = 13



6.
This entry pairs a crystal structure of TbGdAg2Se4 with its computed powder X-ray diffraction pattern. Radiation: Cu Ka. Structure: a cell relaxed with GGA-PBE.

```
TbGdAg2Se4
1.0
4.799 -4.800 0.000
4.799 4.800 0.000
0.000 0.000 4.336
Tb Gd Ag Se
1 1 2 4
direct
0.000 0.000 0.000
0.500 0.500 0.408
0.000 0.500 0.204
0.500 0.000 0.204
0.202 0.798 0.487
0.298 0.298 0.921
0.702 0.702 0.921
0.798 0.202 0.487
```

Principal peaks in the range 10 to 90 degrees two-theta, by angle:
24.36°, 3.654 Å, I = 41; 26.26°, 3.394 Å, I = 30; 27.73°, 3.218 Å, I = 72; 33.53°, 2.673 Å, I = 59; 36.12°, 2.487 Å, I = 100; 37.48°, 2.400 Å, I = 90; 45.20°, 2.006 Å, I = 55; 45.93°, 1.976 Å, I = 49; 60.72°, 1.525 Å, I = 27; 80.02°, 1.199 Å, I = 25



7.
This entry pairs a crystal structure of Gd2Ag2Te3Se with its computed powder X-ray diffraction pattern. Radiation: Cu Ka. Structure: a cell relaxed with GGA-PBE.

```
Gd2Ag2Te3Se
1.0
4.894 -5.104 0.000
4.894 5.104 0.000
-0.050 0.000 4.643
Gd Ag Te Se
2 2 3 1
direct
0.000 0.000 0.000
0.529 0.529 0.387
0.025 0.517 0.213
0.517 0.025 0.213
0.218 0.218 0.491
0.316 0.725 0.904
0.725 0.316 0.904
0.817 0.817 0.474
```

Principal peaks in the range 10 to 90 degrees two-theta, by angle:
25.94°, 3.435 Å, I = 96; 26.32°, 3.386 Å, I = 49; 26.61°, 3.350 Å, I = 73; 31.71°, 2.822 Å, I = 99; 33.98°, 2.638 Å, I = 68; 34.91°, 2.570 Å, I = 45; 35.17°, 2.552 Å, I = 100; 36.73°, 2.447 Å, I = 86; 42.93°, 2.107 Å, I = 85; 43.21°, 2.094 Å, I = 61



8.
This entry pairs a crystal structure of GdYSi2Ag2 with its computed powder X-ray diffraction pattern. Radiation: Cu Ka. Structure: a cell relaxed with GGA-PBE.

```
GdYSi2Ag2
1.0
4.403 0.000 0.000
-2.202 3.813 0.000
0.000 0.000 7.400
Gd Y Si Ag
1 1 2 2
direct
0.000 0.000 0.000
0.000 0.000 0.499
0.333 0.667 0.712
0.667 0.333 0.214
0.333 0.667 0.277
0.667 0.333 0.768
```

Principal peaks in the range 10 to 90 degrees two-theta, by angle:
23.33°, 3.813 Å, I = 9; 26.29°, 3.390 Å, I = 35; 33.75°, 2.655 Å, I = 100; 41.00°, 2.202 Å, I = 56; 43.71°, 2.071 Å, I = 12; 49.26°, 1.850 Å, I = 9; 54.11°, 1.695 Å, I = 25; 65.97°, 1.416 Å, I = 26; 70.07°, 1.343 Å, I = 23; 74.68°, 1.271 Å, I = 9



9.
This entry pairs a crystal structure of SmGdAg2 with its computed powder X-ray diffraction pattern. Radiation: Cu Ka. Structure: a cell relaxed with GGA-PBE.

```
SmGdAg2
1.0
4.813 0.000 0.000
0.000 1.888 5.557
0.000 -1.888 5.557
Sm Gd Ag
1 1 2
direct
0.000 0.000 0.000
0.500 0.712 0.712
0.000 0.277 0.277
0.500 0.433 0.433
```

Principal peaks in the range 10 to 90 degrees two-theta, by angle:
31.16°, 2.870 Å, I = 100; 32.22°, 2.778 Å, I = 24; 33.90°, 2.644 Å, I = 30; 37.37°, 2.407 Å, I = 67; 38.86°, 2.318 Å, I = 57; 48.20°, 1.888 Å, I = 17; 51.33°, 1.780 Å, I = 24; 62.53°, 1.485 Å, I = 29; 63.57°, 1.464 Å, I = 27; 76.12°, 1.250 Å, I = 17



10.
This entry pairs a crystal structure of Sm2GdAg4Sn4 with its computed powder X-ray diffraction pattern. Radiation: Cu Ka. Structure: a cell relaxed with GGA-PBE.

```
Sm2GdAg4Sn4
1.0
-2.316 3.667 7.709
2.316 -3.667 7.709
2.316 3.667 -7.709
Sm Gd Ag Sn
2 1 4 4
direct
0.128 0.128 0.000
0.872 0.872 0.000
0.500 0.000 0.500
0.131 0.329 0.802
0.473 0.671 0.802
0.527 0.329 0.198
0.869 0.671 0.198
0.198 0.500 0.698
0.287 0.787 0.500
0.713 0.213 0.500
0.802 0.500 0.302
```

Principal peaks in the range 10 to 90 degrees two-theta, by angle:
31.47°, 2.842 Å, I = 28; 31.66°, 2.826 Å, I = 100; 32.60°, 2.747 Å, I = 82; 34.93°, 2.569 Å, I = 29; 35.79°, 2.509 Å, I = 18; 38.89°, 2.316 Å, I = 46; 40.88°, 2.207 Å, I = 26; 43.01°, 2.103 Å, I = 31; 57.69°, 1.598 Å, I = 19; 64.84°, 1.438 Å, I = 17



11.
This entry pairs a crystal structure of TbGdAg2Te4 with its computed powder X-ray diffraction pattern. Radiation: Cu Ka. Structure: a cell relaxed with GGA-PBE.

```
TbGdAg2Te4
1.0
5.044 -5.047 0.000
5.044 5.047 0.000
0.000 0.000 4.746
Tb Gd Ag Te
1 1 2 4
direct
0.000 0.000 0.000
0.500 0.500 0.393
0.000 0.500 0.197
0.500 0.000 0.197
0.201 0.799 0.483
0.298 0.298 0.910
0.702 0.702 0.910
0.799 0.201 0.483
```

Principal peaks in the range 10 to 90 degrees two-theta, by angle:
25.77°, 3.457 Å, I = 100; 27.96°, 3.191 Å, I = 28; 31.37°, 2.852 Å, I = 51; 33.85°, 2.648 Å, I = 81; 35.59°, 2.523 Å, I = 77; 42.08°, 2.147 Å, I = 38; 42.51°, 2.126 Å, I = 56; 44.46°, 2.038 Å, I = 19; 52.93°, 1.730 Å, I = 20; 74.33°, 1.276 Å, I = 22



12.
This entry pairs a crystal structure of TbGdTlAg2 with its computed powder X-ray diffraction pattern. Radiation: Cu Ka. Structure: a cell relaxed with GGA-PBE.

```
TbGdTlAg2
1.0
3.530 0.000 0.000
0.000 2.304 7.438
0.000 -2.304 7.438
Tb Gd Tl Ag
1 1 1 2
direct
0.000 0.000 0.000
0.000 0.757 0.757
0.500 0.378 0.378
0.500 0.179 0.179
0.500 0.577 0.577
```

Principal peaks in the range 10 to 90 degrees two-theta, by angle:
26.40°, 3.376 Å, I = 17; 32.51°, 2.754 Å, I = 100; 35.05°, 2.560 Å, I = 55; 35.93°, 2.500 Å, I = 69; 39.09°, 2.304 Å, I = 33; 51.79°, 1.765 Å, I = 15; 53.50°, 1.713 Å, I = 33; 64.64°, 1.442 Å, I = 25; 65.57°, 1.424 Å, I = 14; 66.73°, 1.402 Å, I = 26